Record 1
For V5Ga5Ge, the PBE geometry in Alexandria gives the simulated powder XRD pattern in this record (Cu Ka).
Kinematic intensities with the Lorentz-polarization factor, no thermal factor.

Cell and atoms:
```
data_V5Ga5Ge
_cell_length_a 12.3790
_cell_length_b 4.9046
_cell_length_c 5.9519
_cell_angle_alpha 90.00
_cell_angle_beta 103.88
_cell_angle_gamma 90.00
_symmetry_space_group_name_H-M 'C 1 2/m 1'
_symmetry_Int_Tables_number 12
loop_
_symmetry_equiv_pos_as_xyz
'x,y,z'
'-x,-y,-z'
'-x,y,-z'
'x,-y,z'
'x+1/2,y+1/2,z'
'-x+1/2,-y+1/2,-z'
'-x+1/2,y+1/2,-z'
'x+1/2,-y+1/2,z'
loop_
_atom_site_label
_atom_site_type_symbol
_atom_site_fract_x
_atom_site_fract_y
_atom_site_fract_z
V1 V 0.0000 0.0000 0.0000
V2 V 0.1766 0.5000 0.3150
V3 V 0.1962 0.5000 0.8931
Ga1 Ga 0.0000 0.5000 0.5000
Ga2 Ga 0.1316 0.0000 0.7538
Ga3 Ga 0.1515 0.0000 0.3498
Ge1 Ge 0.0000 0.5000 0.0000
```

Main lines, sorted by position (10 to 80 degrees two-theta):
2theta, I_rel, hkl
28.78, 17, 3 1 0
35.28, 27, 3 1 1
36.64, 75, 0 2 0
37.66, 100, 4 0 -2
38.42, 18, 1 1 2
41.86, 26, 5 1 0
45.27, 21, 6 0 0
49.72, 16, 1 1 -3
53.56, 69, 4 2 -2
59.60, 17, 6 2 0
73.17, 12, 9 1 -2
77.92, 9, 0 4 0

Record 2
For V6GaGe2, the PBE geometry in Alexandria gives the simulated powder XRD pattern in this record (Cu Ka).
Kinematic intensities with the Lorentz-polarization factor, no thermal factor.

Cell and atoms:
```
data_V6GaGe2
_cell_length_a 2.6638
_cell_length_b 6.6936
_cell_length_c 7.2862
_cell_angle_alpha 77.14
_cell_angle_beta 89.21
_cell_angle_gamma 81.72
_symmetry_space_group_name_H-M 'P -1'
_symmetry_Int_Tables_number 2
loop_
_symmetry_equiv_pos_as_xyz
'x,y,z'
'-x,-y,-z'
loop_
_atom_site_label
_atom_site_type_symbol
_atom_site_fract_x
_atom_site_fract_y
_atom_site_fract_z
V1 V 0.0764 0.3520 0.2576
V2 V 0.0960 0.9903 0.8284
V3 V 0.2767 0.6616 0.4075
Ga1 Ga 0.5000 0.0000 0.5000
Ge1 Ge 0.4130 0.3009 0.9295
```

Main lines, sorted by position (10 to 80 degrees two-theta):
2theta, I_rel, hkl
41.20, 36, 1 2 1
42.01, 100, 1 -1 1
42.32, 33, 1 0 -2
43.55, 31, 0 1 -3
60.55, 9, -1 3 2
61.31, 10, 1 1 4
61.70, 9, 1 3 -2
75.42, 5, 1 4 4
75.59, 7, 1 5 1
75.72, 5, 2 1 2
76.12, 9, -2 1 1
78.89, 8, 0 4 -3

Record 3
For V12GaGe6, the PBE geometry in Alexandria gives the simulated powder XRD pattern in this record (Cu Ka).
Kinematic intensities with the Lorentz-polarization factor, no thermal factor.

Cell and atoms:
```
data_V12GaGe6
_cell_length_a 9.2147
_cell_length_b 9.2147
_cell_length_c 11.0019
_cell_angle_alpha 90.00
_cell_angle_beta 90.00
_cell_angle_gamma 120.00
_symmetry_space_group_name_H-M 'R -3'
_symmetry_Int_Tables_number 148
_symmetry_space_group_name_Hall '-R 3'
loop_
_atom_site_label
_atom_site_type_symbol
_atom_site_fract_x
_atom_site_fract_y
_atom_site_fract_z
V1 V 0.0550 0.8676 0.3069
V2 V 0.0630 0.2212 0.9135
Ga1 Ga 0.0000 0.0000 0.5000
Ge1 Ge 0.0165 0.5878 0.2129
```

Main lines, sorted by position (10 to 80 degrees two-theta):
2theta, I_rel, hkl
30.74, 13, 2 1 1
31.17, 19, 2 -1 3
39.81, 12, 0 2 4
41.62, 100, 4 -3 1
41.96, 46, 0 3 3
42.62, 37, 0 1 5
44.10, 69, 3 1 2
44.58, 45, 2 1 4
46.56, 15, 4 -2 3
47.17, 11, 2 0 5
74.21, 11, 2 5 0
79.42, 12, 7 -2 3

Record 4
For V6GaGe, the PBE geometry in Alexandria gives the simulated powder XRD pattern in this record (Cu Ka).
Kinematic intensities with the Lorentz-polarization factor, no thermal factor.

Cell and atoms:
```
data_V6GaGe
_cell_length_a 4.7713
_cell_length_b 4.7713
_cell_length_c 4.7713
_cell_angle_alpha 90.00
_cell_angle_beta 90.00
_cell_angle_gamma 90.00
_symmetry_space_group_name_H-M 'P m -3'
_symmetry_Int_Tables_number 200
_symmetry_space_group_name_Hall '-P 2 2 3'
loop_
_atom_site_label
_atom_site_type_symbol
_atom_site_fract_x
_atom_site_fract_y
_atom_site_fract_z
V1 V 0.0000 0.2521 0.5000
Ga1 Ga 0.0000 0.0000 0.0000
Ge1 Ge 0.5000 0.5000 0.5000
```

Main lines, sorted by position (10 to 80 degrees two-theta):
2theta, I_rel, hkl
26.42, 8, 1 1 0
37.71, 47, 2 0 0
42.36, 85, 2 0 1
46.63, 100, 2 1 1
54.39, 1, 2 2 0
61.45, 2, 3 0 1
68.07, 3, 2 2 2
71.26, 15, 3 0 2
74.39, 46, 3 2 1